[1]
For TbTaFe, the PBE geometry in Alexandria gives the calculated X-ray powder pattern in this record (Cu Kα, 1.54184 Å).
Kinematic intensities with the Lorentz-polarization factor, no thermal factor.

Largest 6 diffraction maxima, in order of rising 2θ, 2θ from 10° to 80°:
13.89°, I = 25, (0 0 1)
32.35°, I = 100, (1 1 1)
34.91°, I = 46, (1 0 2)
40.80°, I = 46, (1 1 2)
41.58°, I = 58, (2 0 0)
55.39°, I = 24, (2 1 2)

Structural model:
```
TbTaFe
1.0
4.3437 0.0000 0.0000
0.0000 4.3437 0.0000
0.0000 0.0000 6.3757
Tb Ta Fe
2 2 2
direct
0.2500 0.2500 0.1351
0.7500 0.7500 0.8649
0.2500 0.7500 0.5000
0.7500 0.2500 0.5000
0.2500 0.2500 0.6920
0.7500 0.7500 0.3080
```

[2]
For Sr2AgPd2Au5, the PBE geometry in Alexandria gives the calculated X-ray powder pattern in this record (Cu Kα, 1.54184 Å).
Kinematic intensities with the Lorentz-polarization factor, no thermal factor.

Largest 6 diffraction maxima, in order of rising 2θ, 2θ from 10° to 80°:
33.01°, I = 22, (2 2 1)
35.42°, I = 100, (3 1 1)
37.03°, I = 36, (4 1 0)
38.81°, I = 43, (3 2 1)
42.77°, I = 30, (0 0 2)
57.83°, I = 20, (4 1 2)

Structural model:
```
Sr2AgPd2Au5
1.0
10.0089 0.0000 0.0000
0.0000 10.0089 0.0000
0.0000 0.0000 4.2287
Sr Ag Pd Au
4 2 4 10
direct
0.1758 0.3242 0.0000
0.3242 0.8242 0.0000
0.6758 0.1758 0.0000
0.8242 0.6758 0.0000
0.0000 0.0000 0.0000
0.5000 0.5000 0.0000
0.1237 0.6237 0.0000
0.3763 0.1237 0.0000
0.6237 0.8763 0.0000
0.8763 0.3763 0.0000
0.0000 0.5000 0.5000
0.0598 0.7998 0.5000
0.2002 0.0598 0.5000
0.2998 0.5598 0.5000
0.4402 0.2998 0.5000
0.5000 0.0000 0.5000
0.5598 0.7002 0.5000
0.7002 0.4402 0.5000
0.7998 0.9402 0.5000
0.9402 0.2002 0.5000
```

[3]
For PrErTm2Th, the PBE geometry in Alexandria gives the calculated X-ray powder pattern in this record (Cu Kα, 1.54184 Å).
Kinematic intensities with the Lorentz-polarization factor, no thermal factor.

Largest 6 diffraction maxima, in order of rising 2θ, 2θ from 10° to 80°:
31.71°, I = 100, (1 1 1)
31.91°, I = 40, (0 2 0)
32.76°, I = 20, (1 0 -2)
34.97°, I = 28, (0 1 3)
36.57°, I = 25, (1 1 -2)
61.97°, I = 20, (1 1 -5)

Structural model:
```
PrErTm2Th
1.0
3.5261 0.0000 0.0000
0.0000 5.6090 0.0000
-0.0121 0.0000 8.6557
Pr Er Tm Th
1 1 2 1
direct
0.0000 0.0000 0.0000
0.5000 0.0000 0.5000
0.0017 0.5000 0.3225
0.9983 0.5000 0.6775
0.5000 0.5000 0.0000
```